# Dy3Er5Cd
Simulated powder diffraction line list, CuKα. Input: DFT lattice parameters and positions (GGA-PBE).
Peak positions follow from Bragg's law for the DFT cell and can differ from measured ones.

Cell and atoms:
```
data_Dy3Er5Cd
_chemical_formula_sum 'Dy12 Er20 Cd4'
_cell_length_a 9.5547
_cell_length_b 11.2857
_cell_length_c 11.3407
_cell_angle_alpha 90.00
_cell_angle_beta 90.32
_cell_angle_gamma 90.00
_symmetry_space_group_name_H-M 'C 1 2/m 1'
_symmetry_Int_Tables_number 12
loop_
_symmetry_equiv_pos_as_xyz
'x,y,z'
'-x,-y,-z'
'-x,y,-z'
'x,-y,z'
'x+1/2,y+1/2,z'
'-x+1/2,-y+1/2,-z'
'-x+1/2,y+1/2,-z'
'x+1/2,-y+1/2,z'
loop_
_atom_site_label
_atom_site_type_symbol
_atom_site_fract_x
_atom_site_fract_y
_atom_site_fract_z
_atom_site_occupancy
Dy1 Dy 0.0000 0.0000 0.0000 1
Dy2 Dy 0.0000 0.0000 0.5000 1
Dy3 Dy 0.0071 0.5000 0.2591 1
Dy4 Dy 0.1613 0.0000 0.2422 1
Er1 Er 0.0000 0.2526 0.5000 1
Er2 Er 0.1212 0.2589 0.8779 1
Er3 Er 0.1695 0.0000 0.7389 1
Er4 Er 0.1769 0.5000 0.5085 1
Cd1 Cd 0.1616 0.5000 0.0136 1
```

Main lines, in order of rising 2θ (2θ = 15–90°):
2θ (°)	I/Imax	(hkl)
15.70	56	0 2 0
31.71	100	0 4 0
33.15	77	3 1 -2
33.30	70	3 1 2
35.43	84	0 2 4
40.43	59	3 3 2